Record 1
Structure and computed powder diffractogram of CeThCo2Ge2 (a PBE-relaxed structure; copper Kα).
Peak positions follow from Bragg's law for the DFT cell and can differ from measured ones.

Largest 6 diffraction maxima, sorted by position, 10° ≤ 2θ ≤ 80°:
2theta  Rel. int.
24.60  22
33.97  100
43.31  41
56.15  24
65.92  23
73.46  21

Cell and atoms:
a = 4.1783 Å, b = 4.1783 Å, c = 7.7139 Å
α = 90.00°, β = 90.00°, γ = 120.00°
Space group P-3m1 (No. 164)
One atom of each set of equivalent atoms:
Ce  0.0000  0.0000  0.0000 (multiplicity 1)
Th  0.0000  0.0000  0.5000 (multiplicity 1)
Co  0.3333  0.6667  0.2479 (multiplicity 2)
Ge  0.3333  0.6667  0.7570 (multiplicity 2)

Record 2
Structure and computed powder diffractogram of Ba8Bi4H2O (a PBE-relaxed structure; copper Kα).
Peak positions follow from Bragg's law for the DFT cell and can differ from measured ones.

Largest 6 diffraction maxima, sorted by position, 10° ≤ 2θ ≤ 80°:
2theta  Rel. int.
23.69  30
25.44  64
30.12  100
33.75  63
44.18  33
58.14  32

Cell and atoms:
a = 5.312 Å, b = 5.312 Å, c = 38.694 Å
α = 90.00°, β = 90.00°, γ = 90.00°
Space group I4/mmm (No. 139)
One atom of each set of equivalent atoms:
Ba  0.000  0.000  0.084 (multiplicity 4)
Ba  0.000  0.000  0.340 (multiplicity 4)
Ba  0.000  0.500  0.000 (multiplicity 4)
Ba  0.000  0.500  0.250 (multiplicity 4)
Bi  0.000  0.000  0.180 (multiplicity 4)
Bi  0.000  0.000  0.433 (multiplicity 4)
H  0.000  0.000  0.271 (multiplicity 4)
O  0.000  0.000  0.000 (multiplicity 2)